# 1
This entry pairs a crystal structure of BeFeSi2O6 with its simulated powder diffractogram. Radiation: Cu Kα, 1.54184 Å. Structure: the GGA+U geometry in Alexandria.

The 10 most intense peaks (5 to 70 degrees two-theta), in order of rising 2θ:
13.73 deg, intensity 30; 26.26 deg, intensity 36; 27.67 deg, intensity 15; 28.33 deg, intensity 100; 30.24 deg, intensity 20; 31.77 deg, intensity 62; 33.34 deg, intensity 18; 35.78 deg, intensity 17; 54.64 deg, intensity 17; 55.94 deg, intensity 23

Structural model:
Lattice parameters (Å, degrees): 9.724 9.405 5.271 90.00 114.38 90.00
Space group C2/c (No. 15)
One atom of each set of equivalent atoms:
Be (0.000, 0.201, 0.250)
Fe (0.000, 0.121, 0.750)
Si (0.195, 0.413, 0.682)
O (0.100, 0.269, 0.556)
O (0.117, 0.097, 0.175)
O (0.153, 0.467, 0.936)

# 2
This entry pairs a crystal structure of YMnW2O8 with its simulated powder diffractogram. Radiation: Cu Kα, 1.54184 Å. Structure: the GGA+U geometry in Alexandria.

The 10 most intense peaks (5 to 70 degrees two-theta), in order of rising 2θ:
17.32 deg, intensity 80; 18.73 deg, intensity 78; 26.38 deg, intensity 92; 27.44 deg, intensity 85; 27.76 deg, intensity 50; 30.21 deg, intensity 80; 30.46 deg, intensity 100; 34.02 deg, intensity 59; 35.09 deg, intensity 73; 48.89 deg, intensity 57

Structural model:
Lattice parameters (Å, degrees): 5.274 5.972 6.068 69.67 65.29 88.52
Space group P1 (No. 1)
One atom of each set of equivalent atoms:
Y (0.000, 0.000, 0.000)
Mn (0.524, 0.654, 0.950)
W (0.239, 0.639, 0.523)
W (0.767, 0.321, 0.496)
O (0.166, 0.432, 0.320)
O (0.248, 0.897, 0.243)
O (0.251, 0.768, 0.777)
O (0.355, 0.316, 0.709)
O (0.684, 0.653, 0.298)
O (0.759, 0.195, 0.268)
O (0.763, 0.030, 0.753)
O (0.833, 0.500, 0.730)

Copy entry 2 word for word.
This entry pairs a crystal structure of YMnW2O8 with its simulated powder diffractogram. Radiation: Cu Kα, 1.54184 Å. Structure: the GGA+U geometry in Alexandria.

The 10 most intense peaks (5 to 70 degrees two-theta), in order of rising 2θ:
17.32 deg, intensity 80; 18.73 deg, intensity 78; 26.38 deg, intensity 92; 27.44 deg, intensity 85; 27.76 deg, intensity 50; 30.21 deg, intensity 80; 30.46 deg, intensity 100; 34.02 deg, intensity 59; 35.09 deg, intensity 73; 48.89 deg, intensity 57

Structural model:
Lattice parameters (Å, degrees): 5.274 5.972 6.068 69.67 65.29 88.52
Space group P1 (No. 1)
One atom of each set of equivalent atoms:
Y (0.000, 0.000, 0.000)
Mn (0.524, 0.654, 0.950)
W (0.239, 0.639, 0.523)
W (0.767, 0.321, 0.496)
O (0.166, 0.432, 0.320)
O (0.248, 0.897, 0.243)
O (0.251, 0.768, 0.777)
O (0.355, 0.316, 0.709)
O (0.684, 0.653, 0.298)
O (0.759, 0.195, 0.268)
O (0.763, 0.030, 0.753)
O (0.833, 0.500, 0.730)

What did the second record say?
This entry pairs a crystal structure of YMnW2O8 with its simulated powder diffractogram. Radiation: Cu Kα, 1.54184 Å. Structure: the GGA+U geometry in Alexandria.

The 10 most intense peaks (5 to 70 degrees two-theta), in order of rising 2θ:
17.32 deg, intensity 80; 18.73 deg, intensity 78; 26.38 deg, intensity 92; 27.44 deg, intensity 85; 27.76 deg, intensity 50; 30.21 deg, intensity 80; 30.46 deg, intensity 100; 34.02 deg, intensity 59; 35.09 deg, intensity 73; 48.89 deg, intensity 57

Structural model:
Lattice parameters (Å, degrees): 5.274 5.972 6.068 69.67 65.29 88.52
Space group P1 (No. 1)
One atom of each set of equivalent atoms:
Y (0.000, 0.000, 0.000)
Mn (0.524, 0.654, 0.950)
W (0.239, 0.639, 0.523)
W (0.767, 0.321, 0.496)
O (0.166, 0.432, 0.320)
O (0.248, 0.897, 0.243)
O (0.251, 0.768, 0.777)
O (0.355, 0.316, 0.709)
O (0.684, 0.653, 0.298)
O (0.759, 0.195, 0.268)
O (0.763, 0.030, 0.753)
O (0.833, 0.500, 0.730)